Structure and theoretical XRD peak list of NaYF4 (a crystal structure in the Materials Project, relaxed with GGA-PBE; CuKα).
Peak positions follow from Bragg's law for the DFT cell and can differ from measured ones.

Top 10 peaks for 5° ≤ 2θ ≤ 70°, low angle first:
| 2theta | d/Å | intensity | index |
| --- | --- | --- | --- |
| 15.96 | 5.553 | 44.5 | 0 0 1 |
| 23.16 | 3.841 | 27.4 | 1 0 0 |
| 28.25 | 3.159 | 100.0 | 1 0 1 |
| 36.84 | 2.440 | 11.6 | 1 1 1 |
| 40.07 | 2.250 | 12.5 | 1 0 2 |
| 46.79 | 1.942 | 63.0 | 1 1 2 |
| 47.33 | 1.920 | 31.1 | 2 0 0 |
| 55.08 | 1.667 | 14.4 | 1 0 3 |
| 56.04 | 1.641 | 27.3 | 2 1 1 |
| 69.18 | 1.358 | 8.4 | 2 2 0 |

Atomic structure:
```
NaYF4
1.0
3.841 0.000 0.000
0.000 3.841 0.000
0.000 0.000 5.553
Na Y F
1 1 4
Cartesian
0.000 0.000 0.000
1.920 1.920 2.776
0.000 1.920 1.498
0.000 1.920 4.055
1.920 0.000 1.498
1.920 0.000 4.055
```